1.
For In2GaCl6, a structure optimized by DFT (GGA-PBE) gives the theoretical powder diffractogram in this record (Cu Kα (λ = 1.5418 Å)).

Top 10 peaks for 10 to 90 degrees two-theta, in order of falling intensity:
2θ/deg, Rel. int.
15.6, 100
11.2, 71
19.0, 53
10.8, 48
23.8, 45
24.7, 37
44.2, 34
34.1, 31
46.0, 30
30.2, 29

Unit cell a=9.663 b=9.663 c=11.010 alpha=121.82 beta=121.82 gamma=72.04
Fractional coordinates of all 18 atoms:
In1 0.119 0.140 0.492
In2 0.140 0.119 0.992
In3 0.860 0.881 0.008
In4 0.881 0.860 0.508
Ga1 0.372 0.628 0.750
Ga2 0.628 0.372 0.250
Cl1 0.116 0.128 0.736
Cl2 0.128 0.116 0.236
Cl3 0.161 0.634 0.528
Cl4 0.366 0.839 0.972
Cl5 0.369 0.405 0.756
Cl6 0.405 0.369 0.256
Cl7 0.595 0.631 0.744
Cl8 0.631 0.595 0.244
Cl9 0.634 0.161 0.028
Cl10 0.839 0.366 0.472
Cl11 0.872 0.884 0.764
Cl12 0.884 0.872 0.264

---

2.
For HfNpRh6, a structure optimized by DFT (GGA-PBE) gives the theoretical powder diffractogram in this record (Cu Kα (λ = 1.5418 Å)).

Top 10 peaks for 10 to 90 degrees two-theta, in order of falling intensity:
2θ/deg, Rel. int.
39.2, 100
45.6, 49
66.5, 31
80.0, 25
79.9, 12
84.3, 11
22.3, 11
31.8, 9
51.3, 5
56.7, 4

Unit cell a=3.977 b=3.977 c=7.968 alpha=90.00 beta=90.00 gamma=90.00
Fractional coordinates of all 8 atoms:
Hf1 0.000 0.000 0.000
Np1 0.000 0.000 0.500
Rh1 0.000 0.500 0.250
Rh2 0.000 0.500 0.750
Rh3 0.500 0.000 0.250
Rh4 0.500 0.000 0.750
Rh5 0.500 0.500 0.000
Rh6 0.500 0.500 0.500

---

3.
For Ca3SmSn12, a structure optimized by DFT (GGA-PBE) gives the theoretical powder diffractogram in this record (Cu Kα (λ = 1.5418 Å)).

Top 10 peaks for 10 to 90 degrees two-theta, in order of falling intensity:
2θ/deg, Rel. int.
32.6, 100
38.0, 33
65.2, 28
54.5, 24
37.5, 17
64.6, 14
89.7, 13
68.3, 12
54.8, 12
81.2, 4

Unit cell a=4.739 b=4.739 c=19.167 alpha=90.00 beta=90.00 gamma=90.00
Fractional coordinates of all 16 atoms:
Ca1 0.000 0.000 0.000
Ca2 0.000 0.000 0.251
Ca3 0.000 0.000 0.749
Sm1 0.000 0.000 0.500
Sn1 0.000 0.500 0.124
Sn2 0.000 0.500 0.374
Sn3 0.000 0.500 0.626
Sn4 0.000 0.500 0.876
Sn5 0.500 0.000 0.124
Sn6 0.500 0.000 0.374
Sn7 0.500 0.000 0.626
Sn8 0.500 0.000 0.876
Sn9 0.500 0.500 0.000
Sn10 0.500 0.500 0.249
Sn11 0.500 0.500 0.500
Sn12 0.500 0.500 0.751